Simulated X-ray diffraction stick pattern
Compound: CeCrP3
Radiation: Cu Kα X-rays
Structure: DFT lattice parameters and positions (PBE)
Kinematic intensities with the Lorentz-polarization factor, no thermal factor.

Atomic structure:
Cell lengths 11.9106, 5.2096, 5.4057 Å; angles 90.00, 90.00, 90.00 degrees
Space group Pbcm (No. 57)
Inequivalent atoms, fractional coordinates:
Ce 0.1913 0.0006 0.2500
Cr 0.4227 0.2500 0.0000
P 0.0003 0.2500 0.0000
P 0.3015 0.5105 0.2500
P 0.4284 0.6174 0.7500

Top 10 peaks for 15° ≤ 2θ ≤ 90°, in order of falling intensity:
- 3.578 Å, rel. 100, hkl 1 1 1
- 2.332 Å, rel. 94, hkl 4 1 1
- 2.385 Å, rel. 74, hkl 5 0 0
- 3.174 Å, rel. 54, hkl 2 1 1
- 2.461 Å, rel. 44, hkl 2 0 2
- 1.876 Å, rel. 43, hkl 0 2 2
- 1.478 Å, rel. 22, hkl 4 1 3
- 2.234 Å, rel. 20, hkl 3 0 2
- 1.474 Å, rel. 19, hkl 5 2 2
- 1.755 Å, rel. 18, hkl 6 1 1

=====

Simulated X-ray diffraction stick pattern
Compound: Cs2CeDy3O8
Radiation: Cu Kα X-rays
Structure: DFT lattice parameters and positions (PBE)
Kinematic intensities with the Lorentz-polarization factor, no thermal factor.

Atomic structure:
Cell lengths 7.0182, 7.0182, 21.5779 Å; angles 90.00, 90.00, 120.00 degrees
Space group R3m (No. 160, hexagonal axes)
Inequivalent atoms, fractional coordinates:
Cs 0.0000 0.0000 0.0000
Cs 0.0000 0.0000 0.3479
Ce 0.0000 0.0000 0.5177
Dy 0.0038 0.5019 0.5016
O 0.0000 0.0000 0.2167
O 0.0000 0.0000 0.7868
O 0.1715 0.3431 0.5568
O 0.1737 0.3473 0.1244

Top 10 peaks for 15° ≤ 2θ ≤ 90°, in order of falling intensity:
- 2.648 Å, rel. 100, hkl 0 2 4
- 3.596 Å, rel. 89, hkl 0 0 6
- 2.925 Å, rel. 81, hkl 2 0 2
- 3.009 Å, rel. 75, hkl 0 2 1
- 1.755 Å, rel. 52, hkl 2 2 0
- 1.577 Å, rel. 50, hkl 2 2 6
- 2.164 Å, rel. 50, hkl 0 2 7
- 3.154 Å, rel. 46, hkl 1 1 3
- 3.514 Å, rel. 46, hkl 0 1 5
- 2.017 Å, rel. 41, hkl 2 0 8

=====

Simulated X-ray diffraction stick pattern
Compound: CsCe2Er2O7
Radiation: Cu Kα X-rays
Structure: DFT lattice parameters and positions (PBE)
Kinematic intensities with the Lorentz-polarization factor, no thermal factor.

Atomic structure:
Cell lengths 4.5919, 4.5919, 19.7139 Å; angles 90.00, 90.00, 90.00 degrees
Space group I4mm (No. 107)
Inequivalent atoms, fractional coordinates:
Cs 0.0000 0.0000 0.0000
Ce 0.0000 0.0000 0.3880
Ce 0.0000 0.0000 0.6115
Er 0.0000 0.5000 0.2498
O 0.0000 0.0000 0.2616
O 0.0000 0.0000 0.4998
O 0.0000 0.0000 0.7380
O 0.0000 0.5000 0.1369
O 0.0000 0.5000 0.3626

Top 10 peaks for 15° ≤ 2θ ≤ 90°, in order of falling intensity:
- 3.084 Å, rel. 100, hkl 1 1 2
- 2.296 Å, rel. 64, hkl 2 0 0
- 2.991 Å, rel. 48, hkl 1 0 5
- 3.764 Å, rel. 46, hkl 1 0 3
- 1.680 Å, rel. 39, hkl 2 0 8
- 2.711 Å, rel. 35, hkl 1 1 4
- 1.685 Å, rel. 33, hkl 1 1 10
- 2.464 Å, rel. 33, hkl 0 0 8
- 1.821 Å, rel. 23, hkl 2 1 5
- 1.623 Å, rel. 21, hkl 2 2 0

=====

Simulated X-ray diffraction stick pattern
Compound: CsCeEr4S8
Radiation: Cu Kα X-rays
Structure: DFT lattice parameters and positions (PBE)
Kinematic intensities with the Lorentz-polarization factor, no thermal factor.

Atomic structure:
Cell lengths 8.2350, 8.2350, 20.9656 Å; angles 90.00, 90.00, 120.00 degrees
Space group R3m (No. 160, hexagonal axes)
Inequivalent atoms, fractional coordinates:
Cs 0.0000 0.0000 0.0000
Ce 0.0000 0.0000 0.3638
Er 0.0000 0.0000 0.7433
Er 0.0110 0.5055 0.8701
S 0.0000 0.0000 0.1425
S 0.0000 0.0000 0.6124
S 0.0126 0.5063 0.1233
S 0.1927 0.3853 0.9407

Top 10 peaks for 15° ≤ 2θ ≤ 90°, in order of falling intensity:
- 3.548 Å, rel. 100, hkl 1 1 3
- 2.112 Å, rel. 58, hkl 2 0 8
- 2.059 Å, rel. 56, hkl 2 2 0
- 3.515 Å, rel. 54, hkl 0 2 1
- 3.615 Å, rel. 45, hkl 0 1 5
- 2.948 Å, rel. 41, hkl 0 2 4
- 2.267 Å, rel. 35, hkl 1 2 5
- 4.223 Å, rel. 33, hkl 1 0 4
- 2.251 Å, rel. 31, hkl 0 3 3
- 2.293 Å, rel. 28, hkl 0 2 7

=====

Simulated X-ray diffraction stick pattern
Compound: Cs3Ce2ErS6
Radiation: Cu Kα X-rays
Structure: DFT lattice parameters and positions (PBE)
Kinematic intensities with the Lorentz-polarization factor, no thermal factor.

Atomic structure:
Cell lengths 7.2909, 12.6275, 8.4129 Å; angles 90.00, 106.79, 90.00 degrees
Space group C2/m (No. 12)
Inequivalent atoms, fractional coordinates:
Cs 0.0000 0.0000 0.0000
Cs 0.0000 0.3325 0.0000
Ce 0.0000 0.1666 0.5000
Er 0.0000 0.5000 0.5000
S 0.2226 0.3384 0.6829
S 0.2380 0.0000 0.6835

Top 10 peaks for 15° ≤ 2θ ≤ 90°, in order of falling intensity:
- 3.121 Å, rel. 100, hkl 1 3 1
- 3.490 Å, rel. 53, hkl 2 0 0
- 2.326 Å, rel. 37, hkl 2 0 2
- 2.105 Å, rel. 34, hkl 0 6 0
- 4.027 Å, rel. 30, hkl 0 0 2
- 2.014 Å, rel. 24, hkl 0 0 4
- 1.865 Å, rel. 23, hkl 3 3 1
- 1.560 Å, rel. 21, hkl 2 6 2
- 1.455 Å, rel. 20, hkl 3 3 3
- 1.745 Å, rel. 18, hkl 4 0 0

=====

Simulated X-ray diffraction stick pattern
Compound: Cs3CeF8
Radiation: Cu Kα X-rays
Structure: DFT lattice parameters and positions (PBE)
Kinematic intensities with the Lorentz-polarization factor, no thermal factor.

Atomic structure:
Cell lengths 7.3296, 7.3296, 10.0856 Å; angles 90.00, 90.00, 90.00 degrees
Space group I-42m (No. 121)
Inequivalent atoms, fractional coordinates:
Cs 0.0000 0.0000 0.0000
Cs 0.0000 0.5000 0.2500
Ce 0.0000 0.0000 0.5000
F 0.1150 0.1150 0.7010
F 0.2103 0.2103 0.4567

Top 10 peaks for 15° ≤ 2θ ≤ 90°, in order of falling intensity:
- 3.614 Å, rel. 100, hkl 1 1 2
- 2.106 Å, rel. 54, hkl 3 1 2
- 3.665 Å, rel. 46, hkl 2 0 0
- 2.591 Å, rel. 29, hkl 2 2 0
- 2.077 Å, rel. 22, hkl 2 0 4
- 1.807 Å, rel. 18, hkl 2 2 4
- 1.382 Å, rel. 16, hkl 5 1 2
- 2.521 Å, rel. 14, hkl 0 0 4
- 1.361 Å, rel. 12, hkl 3 1 6
- 1.374 Å, rel. 12, hkl 4 2 4